# 1
Theoretical powder X-ray diffraction pattern of La4Pr15Th for Cu Kα (λ = 1.5418 Å), from the GGA-PBE geometry in Alexandria.

Top 10 peaks for 2θ from 10° to 90°, most intense first:
(hkl), 2θ (°), I_rel
1 1 5, 29.44, 100
2 0 0, 34.13, 51
2 2 0, 49.04, 36
3 1 5, 58.27, 29
1 1 15, 58.18, 14
2 2 10, 61.10, 13
3 1 15, 79.49, 12
4 2 0, 82.07, 11
3 3 5, 79.57, 6
2 0 20, 81.92, 5

Crystal structure
```
data_La4Pr15Th
_cell_length_a 5.2506
_cell_length_b 5.2506
_cell_length_c 26.3070
_cell_angle_alpha 90.00
_cell_angle_beta 90.00
_cell_angle_gamma 90.00
_symmetry_space_group_name_H-M 'P 4/m m m'
_symmetry_Int_Tables_number 123
_symmetry_space_group_name_Hall '-P 4 2'
loop_
_atom_site_label
_atom_site_fract_x
_atom_site_fract_y
_atom_site_fract_z
La1 0.0000 0.0000 0.1002
La2 0.0000 0.0000 0.3008
Pr1 0.0000 0.5000 0.0000
Pr2 0.0000 0.5000 0.2014
Pr3 0.0000 0.5000 0.4038
Pr4 0.5000 0.5000 0.1005
Pr5 0.5000 0.5000 0.3011
Pr6 0.5000 0.5000 0.5000
Th1 0.0000 0.0000 0.5000
```

***

# 2
Theoretical powder X-ray diffraction pattern of CaPuSe2 for Cu Kα (λ = 1.5418 Å), from the GGA-PBE geometry in Alexandria.

Top 10 peaks for 2θ from 10° to 90°, most intense first:
(hkl), 2θ (°), I_rel
1 0 4, 30.18, 100
0 1 8, 43.14, 37
1 1 0, 43.28, 37
0 2 4, 53.67, 20
0 1 3, 27.86, 20
3 0 0, 79.33, 19
2 1 4, 71.31, 17
1 1 12, 71.11, 17
0 1 1, 24.97, 16
2 0 8, 62.76, 12

Crystal structure
```
data_CaPuSe2
_cell_length_a 4.1809
_cell_length_b 4.1809
_cell_length_c 20.5761
_cell_angle_alpha 90.00
_cell_angle_beta 90.00
_cell_angle_gamma 120.00
_symmetry_space_group_name_H-M 'P -3 m 1'
_symmetry_Int_Tables_number 164
_symmetry_space_group_name_Hall '-P 3 2"'
loop_
_atom_site_label
_atom_site_fract_x
_atom_site_fract_y
_atom_site_fract_z
Ca1 0.0000 0.0000 0.0000
Ca2 0.3333 0.6667 0.1675
Pu1 0.0000 0.0000 0.5000
Pu2 0.3333 0.6667 0.6636
Se1 0.0000 0.0000 0.2520
Se2 0.3333 0.6667 0.4176
Se3 0.3333 0.6667 0.9159
```

***

# 3
Theoretical powder X-ray diffraction pattern of TlH4Br for Cu Kα (λ = 1.5418 Å), from the GGA-PBE geometry in Alexandria.

Top 10 peaks for 2θ from 10° to 90°, most intense first:
(hkl), 2θ (°), I_rel
0 0 1, 16.23, 100
1 1 -1, 27.56, 58
1 -1 1, 32.14, 42
1 1 0, 31.98, 21
1 1 -2, 32.31, 21
0 0 2, 32.80, 20
0 1 0, 20.93, 19
2 0 -2, 43.26, 17
0 2 -1, 39.11, 12
2 0 -1, 39.62, 12

Crystal structure
```
data_TlH4Br
_cell_length_a 4.5497
_cell_length_b 4.6068
_cell_length_c 6.3176
_cell_angle_alpha 111.07
_cell_angle_beta 110.57
_cell_angle_gamma 90.01
_symmetry_space_group_name_H-M 'P -1'
_symmetry_Int_Tables_number 2
_symmetry_space_group_name_Hall '-P 1'
loop_
_atom_site_label
_atom_site_fract_x
_atom_site_fract_y
_atom_site_fract_z
Tl1 0.0000 0.0000 0.0000
H1 0.2325 0.7299 0.4645
H2 0.2817 0.8913 0.5654
Br1 0.5000 0.5000 0.0000
```

***

# 4
Theoretical powder X-ray diffraction pattern of DyTlGe2Cl8 for Cu Kα (λ = 1.5418 Å), from the GGA-PBE geometry in Alexandria.

Top 10 peaks for 2θ from 10° to 90°, most intense first:
(hkl), 2θ (°), I_rel
1 0 -2, 24.25, 100
1 1 0, 18.39, 72
1 -1 0, 19.80, 68
1 2 0, 28.64, 45
0 1 0, 12.86, 30
0 3 2, 42.92, 24
2 1 2, 35.87, 24
1 0 0, 14.07, 24
0 1 2, 22.75, 23
-2 1 2, 37.45, 21

Crystal structure
```
data_DyTlGe2Cl8
_cell_length_a 6.3103
_cell_length_b 6.9225
_cell_length_c 9.0665
_cell_angle_alpha 85.93
_cell_angle_beta 89.64
_cell_angle_gamma 85.77
_symmetry_space_group_name_H-M 'P -1'
_symmetry_Int_Tables_number 2
_symmetry_space_group_name_Hall '-P 1'
loop_
_atom_site_label
_atom_site_fract_x
_atom_site_fract_y
_atom_site_fract_z
Dy1 0.0000 0.0000 0.0000
Tl1 0.0000 0.0000 0.5000
Ge1 0.4611 0.4493 0.7667
Cl1 0.2149 0.8150 0.7988
Cl2 0.2372 0.3107 0.9626
Cl3 0.2675 0.8618 0.2160
Cl4 0.2748 0.3608 0.5693
```

***

# 5
Theoretical powder X-ray diffraction pattern of V12SnGe3 for Cu Kα (λ = 1.5418 Å), from the GGA-PBE geometry in Alexandria.

Top 10 peaks for 2θ from 10° to 90°, most intense first:
(hkl), 2θ (°), I_rel
2 1 2, 46.27, 100
2 1 0, 42.05, 71
1 2 2, 46.11, 52
2 0 0, 37.46, 47
0 2 2, 41.86, 35
2 1 6, 73.81, 25
1 0 2, 26.20, 25
0 2 0, 37.22, 24
1 3 4, 73.50, 24
3 2 2, 73.69, 23

Crystal structure
```
data_V12SnGe3
_cell_length_a 4.8034
_cell_length_b 4.8319
_cell_length_c 9.5990
_cell_angle_alpha 90.00
_cell_angle_beta 90.00
_cell_angle_gamma 90.00
_symmetry_space_group_name_H-M 'P m m m'
_symmetry_Int_Tables_number 47
_symmetry_space_group_name_Hall '-P 2 2'
loop_
_atom_site_label
_atom_site_fract_x
_atom_site_fract_y
_atom_site_fract_z
V1 0.0000 0.0000 0.1248
V2 0.0000 0.0000 0.3664
V3 0.2373 0.5000 0.5000
V4 0.2554 0.5000 0.0000
V5 0.5000 0.2558 0.2410
Sn1 0.5000 0.0000 0.5000
Ge1 0.0000 0.5000 0.2486
Ge2 0.5000 0.0000 0.0000
```

***

# 6
Theoretical powder X-ray diffraction pattern of Pm4Pr5Tm3 for Cu Kα (λ = 1.5418 Å), from the GGA-PBE geometry in Alexandria.

Top 10 peaks for 2θ from 10° to 90°, most intense first:
(hkl), 2θ (°), I_rel
3 1 -2, 30.06, 100
0 2 0, 31.04, 95
2 0 -5, 31.33, 42
1 1 3, 28.78, 36
1 1 -4, 28.91, 29
2 2 -5, 44.68, 26
2 2 3, 44.47, 24
0 2 8, 63.13, 16
3 3 -1, 54.59, 13
1 1 4, 34.31, 13

Crystal structure
```
data_Pm4Pr5Tm3
_cell_length_a 10.4948
_cell_length_b 5.7604
_cell_length_c 14.6316
_cell_angle_alpha 90.00
_cell_angle_beta 110.47
_cell_angle_gamma 90.00
_symmetry_space_group_name_H-M 'C 1 2/m 1'
_symmetry_Int_Tables_number 12
_symmetry_space_group_name_Hall '-C 2y'
loop_
_atom_site_label
_atom_site_fract_x
_atom_site_fract_y
_atom_site_fract_z
Pm1 0.0674 0.0000 0.1297
Pm2 0.1887 0.0000 0.3796
Pr1 0.0000 0.0000 0.5000
Pr2 0.0304 0.5000 0.7383
Pr3 0.1628 0.5000 0.9977
Tm1 0.0000 0.5000 0.5000
Tm2 0.2028 0.0000 0.7430
```